# 1
Starting from a GGA+U-relaxed structure, the PXRD pattern of LaVCrO6 was simulated for λ = 1.5418 Å (Cu Kα).

Peak list (10 most intense, 2θ = 15–90°, in order of rising 2θ)
| 2theta | d [Å] | I_rel | h k l |
| --- | --- | --- | --- |
| 20.02 | 4.434 | 95 | 0 1 -1 |
| 20.25 | 4.385 | 100 | 1 0 -1 |
| 32.84 | 2.727 | 33 | -1 1 1 |
| 33.04 | 2.711 | 96 | 1 1 0 |
| 33.26 | 2.694 | 32 | 0 2 -1 |
| 33.84 | 2.649 | 31 | 2 0 -1 |
| 38.51 | 2.338 | 27 | 0 1 -2 |
| 46.51 | 1.952 | 28 | 0 0 2 |
| 47.99 | 1.896 | 26 | 2 -2 0 |
| 48.37 | 1.882 | 26 | 2 2 -2 |

Cell and atoms:
Lattice parameters (Å, degrees): 5.298 5.387 5.418 119.33 119.13 90.43
Space group P1 (No. 1)
Unique sites:
La 0.000 0.000 0.000
V 0.750 0.254 0.512
Cr 0.244 0.743 0.496
O 0.439 0.993 0.441
O 0.485 0.470 0.431
O 0.494 0.957 0.950
O 0.953 0.490 0.964
O 0.962 0.978 0.507
O 0.996 0.445 0.461

***

# 2
Starting from a GGA+U-relaxed structure, the PXRD pattern of LaVZnCrO6 was simulated for λ = 1.5418 Å (Cu Kα).

Peak list (10 most intense, 2θ = 15–90°, in order of rising 2θ)
| 2theta | d [Å] | I_rel | h k l |
| --- | --- | --- | --- |
| 23.29 | 3.819 | 7 | 1 1 -1 |
| 32.88 | 2.724 | 100 | 1 1 -3 |
| 33.46 | 2.678 | 18 | 2 0 -2 |
| 40.44 | 2.231 | 8 | 0 2 2 |
| 46.76 | 1.943 | 12 | 0 0 4 |
| 47.62 | 1.910 | 21 | 2 2 -2 |
| 58.34 | 1.582 | 9 | 0 2 4 |
| 58.69 | 1.573 | 17 | 2 0 2 |
| 59.45 | 1.555 | 19 | 3 1 -1 |
| 68.90 | 1.363 | 8 | 2 2 2 |

Cell and atoms:
Lattice parameters (Å, degrees): 5.356 5.449 9.428 90.00 124.49 90.00
Space group Pc (No. 7)
Unique sites:
La 0.000 0.213 0.000
V 0.260 0.265 0.751
Zn 0.517 0.266 0.503
Cr 0.756 0.252 0.250
O 0.002 0.476 0.205
O 0.136 0.229 0.503
O 0.430 0.293 0.000
O 0.494 0.046 0.305
O 0.592 0.468 0.804
O 0.888 0.057 0.691

***

# 3
Starting from a GGA+U-relaxed structure, the PXRD pattern of LaZnCrWO6 was simulated for λ = 1.5418 Å (Cu Kα).

Peak list (10 most intense, 2θ = 15–90°, in order of rising 2θ)
| 2theta | d [Å] | I_rel | h k l |
| --- | --- | --- | --- |
| 19.22 | 4.617 | 38 | 0 1 1 |
| 19.95 | 4.450 | 22 | 1 0 -2 |
| 31.40 | 2.849 | 50 | 0 2 0 |
| 31.96 | 2.800 | 100 | 1 1 1 |
| 32.32 | 2.770 | 97 | 1 1 -3 |
| 32.88 | 2.724 | 44 | 2 0 -2 |
| 38.23 | 2.354 | 23 | 1 0 -4 |
| 46.09 | 1.969 | 71 | 0 0 4 |
| 56.82 | 1.620 | 22 | 0 2 4 |
| 57.90 | 1.593 | 23 | 3 1 -1 |

Cell and atoms:
Lattice parameters (Å, degrees): 5.449 5.697 9.514 90.00 124.08 90.00
Space group Pc (No. 7)
Unique sites:
La 0.000 0.211 0.000
Zn 0.486 0.228 0.503
Cr 0.235 0.253 0.747
W 0.733 0.265 0.247
O 0.112 0.057 0.312
O 0.374 0.475 0.182
O 0.489 0.051 0.692
O 0.572 0.276 0.993
O 0.852 0.223 0.497
O 0.984 0.447 0.794

***

# 4
Starting from a GGA+U-relaxed structure, the PXRD pattern of LaZnCrWO6 was simulated for λ = 1.5418 Å (Cu Kα).

Peak list (10 most intense, 2θ = 15–90°, in order of rising 2θ)
| 2theta | d [Å] | I_rel | h k l |
| --- | --- | --- | --- |
| 19.25 | 4.610 | 26 | 1 1 1 |
| 22.27 | 3.992 | 7 | 2 0 0 |
| 31.70 | 2.823 | 100 | 2 2 0 |
| 37.35 | 2.407 | 14 | 3 1 1 |
| 45.44 | 1.996 | 31 | 4 0 0 |
| 49.78 | 1.832 | 6 | 3 3 1 |
| 56.46 | 1.630 | 39 | 4 2 2 |
| 66.21 | 1.411 | 19 | 4 4 0 |
| 75.27 | 1.262 | 17 | 6 2 0 |
| 83.97 | 1.152 | 6 | 4 4 4 |

Cell and atoms:
Lattice parameters (Å, degrees): 7.985 7.985 7.985 90.00 90.00 90.00
Space group F-43m (No. 216)
Unique sites:
La 0.000 0.000 0.000
Zn 0.250 0.250 0.750
Cr 0.000 0.000 0.500
W 0.250 0.250 0.250
O 0.007 0.250 0.250

***

# 5
Starting from a GGA+U-relaxed structure, the PXRD pattern of La2ZnCrO6 was simulated for λ = 1.5418 Å (Cu Kα).

Peak list (10 most intense, 2θ = 15–90°, in order of rising 2θ)
| 2theta | d [Å] | I_rel | h k l |
| --- | --- | --- | --- |
| 22.52 | 3.948 | 25 | 0 1 2 |
| 31.75 | 2.818 | 98 | 1 1 0 |
| 32.37 | 2.766 | 100 | 1 0 4 |
| 39.28 | 2.294 | 20 | 2 0 2 |
| 45.97 | 1.974 | 57 | 0 2 4 |
| 56.56 | 1.627 | 25 | 3 0 0 |
| 56.95 | 1.617 | 41 | 2 1 4 |
| 58.12 | 1.587 | 18 | 0 1 8 |
| 67.76 | 1.383 | 17 | 2 0 8 |
| 76.77 | 1.242 | 17 | 3 -2 8 |

Cell and atoms:
Lattice parameters (Å, degrees): 5.6367 5.6367 13.4264 90.00 90.00 120.00
Space group R-3 (No. 148, hexagonal axes)
Unique sites:
La 0.0000 0.0000 0.2490
Zn 0.0000 0.0000 0.5000
Cr 0.0000 0.0000 0.0000
O 0.0152 0.5834 0.7485

***

# 6
Starting from a GGA+U-relaxed structure, the PXRD pattern of LiMg14CrO16 was simulated for λ = 1.5418 Å (Cu Kα).

Peak list (10 most intense, 2θ = 15–90°, in order of rising 2θ)
| 2theta | d [Å] | I_rel | h k l |
| --- | --- | --- | --- |
| 25.74 | 3.461 | 13 | 1 1 1 |
| 31.64 | 2.828 | 8 | 1 2 1 |
| 36.64 | 2.453 | 33 | 1 2 2 |
| 42.35 | 2.134 | 100 | 0 0 4 |
| 42.57 | 2.124 | 100 | 0 4 0 |
| 42.76 | 2.115 | 99 | 2 0 0 |
| 61.60 | 1.505 | 55 | 0 4 4 |
| 61.75 | 1.502 | 55 | 2 0 4 |
| 61.92 | 1.499 | 55 | 2 4 0 |
| 77.89 | 1.226 | 49 | 2 4 4 |

Cell and atoms:
Lattice parameters (Å, degrees): 4.229 8.495 8.537 90.00 90.00 90.00
Space group Pmmm (No. 47)
Unique sites:
Li 0.000 0.000 0.000
Mg 0.000 0.248 0.243
Mg 0.000 0.500 0.000
Mg 0.000 0.500 0.500
Mg 0.500 0.000 0.240
Mg 0.500 0.244 0.000
Mg 0.500 0.252 0.500
Mg 0.500 0.500 0.247
Cr 0.000 0.000 0.500
O 0.000 0.000 0.265
O 0.000 0.242 0.500
O 0.000 0.256 0.000
O 0.000 0.500 0.255
O 0.500 0.000 0.000
O 0.500 0.000 0.500
O 0.500 0.249 0.252
O 0.500 0.500 0.000
O 0.500 0.500 0.500